Entry 1:
For Rb2CeAsSe4, DFT lattice parameters and positions (PBE) gives the theoretical powder diffractogram in this record (Cu Kα X-rays).
Intensities are scaled so that the largest is 100.

Crystal structure
```
Rb2CeAsSe4
1.0
-4.4527 4.4551 6.2502
4.4527 -4.4551 6.2502
4.4527 4.4551 -6.2502
Rb Ce As Se
4 2 2 8
direct
0.0000 0.0000 0.0000
0.5000 0.0000 0.0000
0.5000 0.0000 0.5000
0.5000 0.5000 0.5000
0.0000 0.0000 0.5000
0.0000 0.5000 0.0000
0.0000 0.5000 0.5000
0.5000 0.5000 0.0000
0.1947 0.7253 0.4695
0.2359 0.2833 0.5474
0.2359 0.6885 0.9526
0.2442 0.2747 0.9695
0.7558 0.7253 0.0305
0.7641 0.3115 0.0474
0.7641 0.7167 0.4526
0.8053 0.2747 0.5305
```

Top 12 peaks for 2θ from 15° to 90°, by intensity:
| 2theta | d/Å | I/Imax |
| --- | --- | --- |
| 28.3 | 3.149 | 100 |
| 40.7 | 2.218 | 67 |
| 28.6 | 3.125 | 49 |
| 40.5 | 2.227 | 34 |
| 50.3 | 1.814 | 32 |
| 73.8 | 1.284 | 15 |
| 37.1 | 2.422 | 14 |
| 66.4 | 1.409 | 11 |
| 66.5 | 1.406 | 11 |
| 66.8 | 1.400 | 11 |
| 58.6 | 1.575 | 9 |
| 74.1 | 1.279 | 7 |

Entry 2:
For Ce3As4Rh7, DFT lattice parameters and positions (PBE) gives the theoretical powder diffractogram in this record (Cu Kα X-rays).
Intensities are scaled so that the largest is 100.

Crystal structure
```
Ce3As4Rh7
1.0
7.7813 -2.0393 0.0000
7.7813 2.0393 0.0000
-5.6003 0.0000 7.7358
Ce As Rh
3 4 7
direct
0.0000 0.0000 0.0000
0.3277 0.3277 0.3327
0.6723 0.6723 0.6673
0.1087 0.1087 0.8326
0.3394 0.3394 0.7352
0.6606 0.6606 0.2648
0.8913 0.8913 0.1674
0.0000 0.0000 0.5000
0.1686 0.1686 0.4314
0.3015 0.3015 0.9585
0.4917 0.4917 0.7111
0.5083 0.5083 0.2889
0.6985 0.6985 0.0415
0.8314 0.8314 0.5686
```

Top 12 peaks for 2θ from 15° to 90°, by intensity:
| 2theta | d/Å | I/Imax |
| --- | --- | --- |
| 35.6 | 2.521 | 100 |
| 36.4 | 2.469 | 70 |
| 44.4 | 2.040 | 65 |
| 35.8 | 2.509 | 32 |
| 43.1 | 2.101 | 31 |
| 39.0 | 2.310 | 25 |
| 36.0 | 2.496 | 23 |
| 37.7 | 2.386 | 20 |
| 63.6 | 1.463 | 19 |
| 30.5 | 2.927 | 18 |
| 45.6 | 1.989 | 18 |
| 59.6 | 1.551 | 18 |

Entry 3:
For CeAsRh2, DFT lattice parameters and positions (PBE) gives the theoretical powder diffractogram in this record (Cu Kα X-rays).
Intensities are scaled so that the largest is 100.

Crystal structure
```
CeAsRh2
1.0
4.3098 0.0000 0.0000
0.0000 5.7768 0.0000
0.0000 0.0000 5.8569
Ce As Rh
2 2 4
direct
0.2500 0.2500 0.1262
0.7500 0.7500 0.8738
0.2500 0.7500 0.2861
0.7500 0.2500 0.7139
0.2500 0.0091 0.6505
0.2500 0.4909 0.6505
0.7500 0.5091 0.3495
0.7500 0.9909 0.3495
```

Top 12 peaks for 2θ from 15° to 90°, by intensity:
| 2theta | d/Å | I/Imax |
| --- | --- | --- |
| 40.6 | 2.220 | 100 |
| 37.1 | 2.422 | 51 |
| 41.9 | 2.155 | 35 |
| 34.6 | 2.590 | 27 |
| 34.3 | 2.612 | 23 |
| 30.0 | 2.975 | 22 |
| 75.7 | 1.256 | 16 |
| 55.5 | 1.657 | 14 |
| 55.3 | 1.662 | 12 |
| 76.8 | 1.240 | 11 |
| 80.0 | 1.200 | 10 |
| 56.9 | 1.617 | 10 |

Entry 4:
For CeAs2Rh7, DFT lattice parameters and positions (PBE) gives the theoretical powder diffractogram in this record (Cu Kα X-rays).
Intensities are scaled so that the largest is 100.

Crystal structure
```
CeAs2Rh7
1.0
-2.0311 2.0311 9.8499
2.0311 -2.0311 9.8499
2.0311 2.0311 -9.8499
Ce As Rh
1 2 7
direct
0.0000 0.0000 0.0000
0.3233 0.3233 0.0000
0.6767 0.6767 0.0000
0.1042 0.6042 0.5000
0.2500 0.7500 0.5000
0.3958 0.8958 0.5000
0.5000 0.5000 0.0000
0.6042 0.1042 0.5000
0.7500 0.2500 0.5000
0.8958 0.3958 0.5000
```

Top 12 peaks for 2θ from 15° to 90°, by intensity:
| 2theta | d/Å | I/Imax |
| --- | --- | --- |
| 41.8 | 2.162 | 100 |
| 44.6 | 2.031 | 55 |
| 80.2 | 1.196 | 29 |
| 36.2 | 2.481 | 24 |
| 64.9 | 1.436 | 17 |
| 32.5 | 2.758 | 16 |
| 25.8 | 3.455 | 16 |
| 36.5 | 2.462 | 13 |
| 58.9 | 1.567 | 13 |
| 75.2 | 1.264 | 11 |
| 31.1 | 2.872 | 8 |
| 74.3 | 1.277 | 8 |